Cs8Au4Br: theoretical powder XRD pattern (Cu Ka), based on a structure optimized by DFT (PBE).

Most intense lines, 10° ≤ 2θ ≤ 90°, low angle first:
2θ (°)	d_spacing	I (rel.)
17.51	5.064	29
28.79	3.101	100
33.90	2.644	18
41.17	2.193	19
45.06	2.012	8
51.01	1.790	41
54.35	1.688	6
59.63	1.550	13
67.55	1.387	18
82.23	1.172	16

```
Cs8Au4Br
1.0
6.2056 3.5828 5.0577
-6.2056 3.5828 5.0577
0.0000 -7.1656 5.0577
Cs Au Br
8 4 1
direct
0.2459 0.2459 0.2459
0.2459 0.2459 0.7543
0.2459 0.7543 0.2459
0.2457 0.7541 0.7541
0.7543 0.2459 0.2459
0.7541 0.2457 0.7541
0.7541 0.7541 0.2457
0.7541 0.7541 0.7541
0.0000 0.0000 0.5000
0.0000 0.5000 0.0000
0.5000 0.0000 0.0000
0.5000 0.5000 0.5000
0.0000 0.0000 0.0000
```